Diffraction record for NaZr2Te4. The powder XRD pattern is simulated, not measured: it uses a crystal structure in Alexandria, relaxed with PBE and CuKα.
Neutral-atom scattering factors, no anomalous dispersion.

Top 12 peaks for 2θ from 10° to 90°, in order of falling intensity:
Position (°2θ)  I_rel  h k l
27.9  100  1 1 1
11.1  67  0 0 1
34.1  67  1 1 2
28.0  50  2 0 -1
42.6  36  1 1 -3
45.1  34  3 1 0
34.2  33  2 0 -2
44.9  17  0 2 0
42.8  17  2 0 3
53.7  16  2 2 -1
22.2  15  0 0 2
76.2  13  4 2 2

Atomic structure:
```
data_NaZr2Te4
_cell_length_a 6.9493
_cell_length_b 4.0396
_cell_length_c 7.9993
_cell_angle_alpha 90.00
_cell_angle_beta 90.15
_cell_angle_gamma 90.00
_symmetry_space_group_name_H-M 'P 1 2/m 1'
_symmetry_Int_Tables_number 10
loop_
_symmetry_equiv_pos_as_xyz
'x,y,z'
'-x,-y,-z'
'-x,y,-z'
'x,-y,z'
loop_
_atom_site_label
_atom_site_type_symbol
_atom_site_fract_x
_atom_site_fract_y
_atom_site_fract_z
_atom_site_occupancy
Na1 Na 0.0000 0.0000 0.0000 1
Zr1 Zr 0.0000 0.0000 0.5000 1
Zr2 Zr 0.5000 0.5000 0.5000 1
Te1 Te 0.1688 0.5000 0.7248 1
Te2 Te 0.3362 0.0000 0.2769 1
```